Starting from a crystal structure in Alexandria, relaxed with PBE, the powder diffraction line list of BaHo2RhO5 was calculated for Cu Kα.

Main lines, in order of rising 2θ (15° ≤ 2θ ≤ 90°):
d/Å  I/Imax  hkl
3.227  22.8  0 1 3
2.918  12.8  0 0 4
2.885  28.6  0 2 0
2.829  100.0  1 1 2
2.165  11.1  0 1 5
2.052  14.9  0 2 4
2.004  9.5  1 0 5
1.993  10.9  1 2 3
1.953  14.5  2 0 0
1.655  20.9  1 3 2
1.646  11.6  1 2 5
1.617  10.6  2 2 0

Structure:
```
data_BaHo2RhO5
_chemical_formula_sum 'Ba2 Ho4 Rh2 O10'
_cell_length_a 3.9064
_cell_length_b 5.7704
_cell_length_c 11.6739
_cell_angle_alpha 90.00
_cell_angle_beta 90.00
_cell_angle_gamma 90.00
_space_group_name_H-M_alt 'I m m m'
_space_group_IT_number 71
_space_group_name_Hall '-I 2 2'
loop_
_atom_site_label
_atom_site_type_symbol
_atom_site_fract_x
_atom_site_fract_y
_atom_site_fract_z
Ba1 Ba 0.0000 0.0000 0.0000
Ho1 Ho 0.0000 0.5000 0.2039
Rh1 Rh 0.0000 0.0000 0.5000
O1 O 0.0000 0.2401 0.3433
O2 O 0.0000 0.5000 0.0000
```

***

Starting from a crystal structure in Alexandria, relaxed with PBE, the powder diffraction line list of BaHoRu2O8 was calculated for Cu Kα.

Main lines, in order of rising 2θ (15° ≤ 2θ ≤ 90°):
d/Å  I/Imax  hkl
5.105  49.2  1 0 0
4.240  83.3  0 1 1
3.052  100.0  1 0 2
2.947  87.1  1 1 0
2.120  49.1  0 2 2
1.870  16.6  3 -2 1
1.721  39.5  2 1 2
1.702  17.0  3 0 0
1.599  27.9  1 1 4
1.474  15.3  2 2 0
1.327  16.6  4 -3 2
1.269  13.0  3 0 4

Structure:
```
data_BaHoRu2O8
_chemical_formula_sum 'Ba1 Ho1 Ru2 O8'
_cell_length_a 5.8942
_cell_length_b 5.8942
_cell_length_c 7.6146
_cell_angle_alpha 90.00
_cell_angle_beta 90.00
_cell_angle_gamma 120.00
_space_group_name_H-M_alt 'P -3'
_space_group_IT_number 147
loop_
_space_group_symop_operation_xyz
'x,y,z'
'-x,-y,-z'
'-y,x-y,z'
'y,-x+y,-z'
'-x+y,-x,z'
'x-y,x,-z'
loop_
_atom_site_label
_atom_site_type_symbol
_atom_site_fract_x
_atom_site_fract_y
_atom_site_fract_z
Ba1 Ba 0.0000 0.0000 0.0000
Ho1 Ho 0.0000 0.0000 0.5000
Ru1 Ru 0.3333 0.6667 0.7683
O1 O 0.1616 0.3264 0.6950
O2 O 0.3333 0.6667 0.0026
```

***

Starting from a crystal structure in Alexandria, relaxed with PBE, the powder diffraction line list of BaHo2ZnO5 was calculated for Cu Kα.

Main lines, in order of rising 2θ (15° ≤ 2θ ≤ 90°):
d/Å  I/Imax  hkl
3.034  100.0  3 1 1
2.940  82.1  1 1 2
2.871  54.2  0 2 0
2.842  22.5  4 0 1
2.727  15.2  4 1 0
2.442  17.9  3 1 2
2.020  32.4  4 2 1
1.966  15.7  3 2 2
1.885  13.6  4 0 3
1.687  22.0  3 3 1
1.670  15.7  1 3 2
1.575  17.3  4 2 3

Structure:
```
data_BaHo2ZnO5
_chemical_formula_sum 'Ba4 Ho8 Zn4 O20'
_cell_length_a 12.3980
_cell_length_b 5.7411
_cell_length_c 7.1216
_cell_angle_alpha 90.00
_cell_angle_beta 90.00
_cell_angle_gamma 90.00
_space_group_name_H-M_alt 'P n m a'
_space_group_IT_number 62
loop_
_space_group_symop_operation_xyz
'x,y,z'
'-x,-y,-z'
'-x+1/2,-y,z+1/2'
'x+1/2,y,-z+1/2'
'x+1/2,-y+1/2,-z+1/2'
'-x+1/2,y+1/2,z+1/2'
'-x,y+1/2,-z'
'x,-y+1/2,z'
loop_
_atom_site_label
_atom_site_type_symbol
_atom_site_fract_x
_atom_site_fract_y
_atom_site_fract_z
Ba1 Ba 0.1017 0.2500 0.0773
Ho1 Ho 0.0744 0.7500 0.3998
Ho2 Ho 0.2081 0.2500 0.6185
Zn1 Zn 0.1500 0.7500 0.8083
O1 O 0.0662 0.5009 0.6624
O2 O 0.1007 0.7500 0.0762
O3 O 0.2246 0.9999 0.3589
```

***

Starting from a crystal structure in Alexandria, relaxed with PBE, the powder diffraction line list of Ba5Ho8Zn4O21 was calculated for Cu Kα.

Main lines, in order of rising 2θ (15° ≤ 2θ ≤ 90°):
d/Å  I/Imax  hkl
3.193  44.9  2 3 1
3.098  15.4  2 4 0
2.900  100.0  4 1 1
2.869  41.6  0 0 2
2.495  34.1  4 3 1
2.376  13.5  3 5 0
2.105  18.0  2 4 2
1.973  18.7  1 5 2
1.921  11.1  6 4 0
1.830  11.4  3 5 2
1.662  19.5  4 1 3
1.618  11.1  7 1 2

Structure:
```
data_Ba5Ho8Zn4O21
_chemical_formula_sum 'Ba10 Ho16 Zn8 O42'
_cell_length_a 13.8542
_cell_length_b 13.8542
_cell_length_c 5.7383
_cell_angle_alpha 90.00
_cell_angle_beta 90.00
_cell_angle_gamma 90.00
_space_group_name_H-M_alt 'I 4/m'
_space_group_IT_number 87
_space_group_name_Hall '-I 4'
loop_
_atom_site_label
_atom_site_type_symbol
_atom_site_fract_x
_atom_site_fract_y
_atom_site_fract_z
Ba1 Ba 0.0000 0.0000 0.0000
Ba2 Ba 0.0354 0.3605 0.5000
Ho1 Ho 0.0887 0.8580 0.5000
Ho2 Ho 0.1681 0.2474 0.0000
Zn1 Zn 0.0405 0.7497 0.0000
O1 O 0.0000 0.0000 0.5000
O2 O 0.0381 0.3715 0.0000
O3 O 0.0481 0.1776 0.2505
O4 O 0.1485 0.7430 0.2485
```

***

Starting from a crystal structure in Alexandria, relaxed with PBE, the powder diffraction line list of BaPrHo was calculated for Cu Kα.

Main lines, in order of rising 2θ (15° ≤ 2θ ≤ 90°):
d/Å  I/Imax  hkl
3.148  100.0  1 0 3
2.765  14.9  0 0 6
2.707  35.3  1 1 0
1.934  21.0  1 1 6
1.914  12.8  2 0 0
1.661  10.9  1 0 9
1.636  29.3  2 1 3
1.574  10.9  2 0 6
1.254  9.7  2 1 9
1.244  5.9  3 0 3
1.211  9.0  3 1 0
1.109  7.2  3 1 6

Structure:
```
data_BaPrHo
_chemical_formula_sum 'Ba2 Pr2 Ho2'
_cell_length_a 3.8287
_cell_length_b 3.8287
_cell_length_c 16.5911
_cell_angle_alpha 90.00
_cell_angle_beta 90.00
_cell_angle_gamma 90.00
_space_group_name_H-M_alt 'I 4 m m'
_space_group_IT_number 107
_space_group_name_Hall 'I 4 -2'
loop_
_atom_site_label
_atom_site_type_symbol
_atom_site_fract_x
_atom_site_fract_y
_atom_site_fract_z
Ba1 Ba 0.0000 0.0000 0.0000
Pr1 Pr 0.0000 0.0000 0.6838
Ho1 Ho 0.0000 0.0000 0.3205
```

***

Starting from a crystal structure in Alexandria, relaxed with PBE, the powder diffraction line list of BaPrHo4Se8 was calculated for Cu Kα.

Main lines, in order of rising 2θ (15° ≤ 2θ ≤ 90°):
d/Å  I/Imax  hkl
4.352  30.5  1 0 4
3.719  42.0  0 1 5
3.679  91.6  1 1 3
3.659  47.2  0 2 1
3.054  100.0  0 2 4
2.366  36.6  0 2 7
2.350  42.1  1 2 5
2.340  30.1  0 3 3
2.176  94.2  2 0 8
2.144  95.9  2 2 0
1.527  28.8  0 4 8
1.244  28.2  4 2 8

Structure:
```
data_BaPrHo4Se8
_chemical_formula_sum 'Ba3 Pr3 Ho12 Se24'
_cell_length_a 8.5749
_cell_length_b 8.5749
_cell_length_c 21.4860
_cell_angle_alpha 90.00
_cell_angle_beta 90.00
_cell_angle_gamma 120.00
_space_group_name_H-M_alt 'R 3 m'
_space_group_IT_number 160
_space_group_name_Hall 'R 3 -2"'
loop_
_atom_site_label
_atom_site_type_symbol
_atom_site_fract_x
_atom_site_fract_y
_atom_site_fract_z
Ba1 Ba 0.0000 0.0000 0.0000
Pr1 Pr 0.0000 0.0000 0.6304
Ho1 Ho 0.0000 0.0000 0.2541
Ho2 Ho 0.1685 0.3371 0.4612
Se1 Se 0.0000 0.0000 0.3859
Se2 Se 0.0000 0.0000 0.8597
Se3 Se 0.0388 0.5194 0.3885
Se4 Se 0.1726 0.3453 0.2063
```

***

Starting from a crystal structure in Alexandria, relaxed with PBE, the powder diffraction line list of Ba3PrHo3Te8 was calculated for Cu Kα.

Main lines, in order of rising 2θ (15° ≤ 2θ ≤ 90°):
d/Å  I/Imax  hkl
3.268  100.0  0 2 4
2.568  5.9  0 2 7
2.370  37.6  2 0 8
2.255  36.6  2 2 0
1.988  6.3  0 0 12
1.856  20.0  4 0 4
1.634  11.7  0 4 8
1.491  14.7  2 2 12
1.433  16.5  2 4 4
1.393  4.8  0 2 16
1.323  11.3  4 2 8
1.302  6.0  6 0 0

Structure:
```
data_Ba3PrHo3Te8
_chemical_formula_sum 'Ba9 Pr3 Ho9 Te24'
_cell_length_a 9.0212
_cell_length_b 9.0212
_cell_length_c 23.8550
_cell_angle_alpha 90.00
_cell_angle_beta 90.00
_cell_angle_gamma 120.00
_space_group_name_H-M_alt 'R -3 m'
_space_group_IT_number 166
_space_group_name_Hall '-R 3 2"'
loop_
_atom_site_label
_atom_site_type_symbol
_atom_site_fract_x
_atom_site_fract_y
_atom_site_fract_z
Ba1 Ba 0.0000 0.5000 0.0000
Pr1 Pr 0.0000 0.0000 0.5000
Ho1 Ho 0.0000 0.5000 0.5000
Te1 Te 0.0000 0.0000 0.2382
Te2 Te 0.0150 0.5075 0.7597
```

***

Starting from a crystal structure in Alexandria, relaxed with PBE, the powder diffraction line list of BaHoPt10 was calculated for Cu Kα.

Main lines, in order of rising 2θ (15° ≤ 2θ ≤ 90°):
d/Å  I/Imax  hkl
4.742  32.3  0 0 2
2.738  16.8  0 2 0
2.374  18.5  0 2 2
2.328  100.0  1 2 0
2.212  34.2  2 0 0
2.091  37.3  1 2 2
2.087  16.0  1 0 4
1.617  17.9  2 0 4
1.490  16.3  1 3 3
1.368  13.5  0 2 6
1.298  15.9  3 2 0
1.163  16.6  2 2 6

Structure:
```
data_BaHoPt10
_chemical_formula_sum 'Ba1 Ho1 Pt10'
_cell_length_a 4.4233
_cell_length_b 5.4868
_cell_length_c 9.4662
_cell_angle_alpha 90.00
_cell_angle_beta 90.00
_cell_angle_gamma 90.00
_space_group_name_H-M_alt 'P m m m'
_space_group_IT_number 47
loop_
_space_group_symop_operation_xyz
'x,y,z'
'-x,-y,-z'
'-x,-y,z'
'x,y,-z'
'x,-y,-z'
'-x,y,z'
'-x,y,-z'
'x,-y,z'
loop_
_atom_site_label
_atom_site_type_symbol
_atom_site_fract_x
_atom_site_fract_y
_atom_site_fract_z
Ba1 Ba 0.0000 0.0000 0.0000
Ho1 Ho 0.0000 0.5000 0.5000
Pt1 Pt 0.0000 0.0000 0.3422
Pt2 Pt 0.0000 0.5000 0.1806
Pt3 Pt 0.5000 0.0000 0.5000
Pt4 Pt 0.5000 0.2542 0.2589
Pt5 Pt 0.5000 0.5000 0.0000
```

***

Starting from a crystal structure in Alexandria, relaxed with PBE, the powder diffraction line list of Ba2HoSbS6 was calculated for Cu Kα.

Main lines, in order of rising 2θ (15° ≤ 2θ ≤ 90°):
d/Å  I/Imax  hkl
3.636  22.1  0 2 0
3.609  100.0  1 1 1
3.581  25.5  2 0 -2
2.552  56.5  0 0 4
2.240  8.2  1 3 -2
2.094  13.5  1 3 -3
2.089  12.2  0 2 4
2.075  21.1  3 1 -1
2.070  15.5  3 1 -5
1.807  10.2  2 2 2
1.802  10.1  2 2 -6
1.790  7.8  4 0 -4

Structure:
```
data_Ba2HoSbS6
_chemical_formula_sum 'Ba4 Ho2 Sb2 S12'
_cell_length_a 7.1615
_cell_length_b 7.2715
_cell_length_c 12.4506
_cell_angle_alpha 90.00
_cell_angle_beta 124.89
_cell_angle_gamma 90.00
_space_group_name_H-M_alt 'P 1 21/c 1'
_space_group_IT_number 14
loop_
_space_group_symop_operation_xyz
'x,y,z'
'-x,-y,-z'
'-x,y+1/2,-z+1/2'
'x,-y+1/2,z+1/2'
loop_
_atom_site_label
_atom_site_type_symbol
_atom_site_fract_x
_atom_site_fract_y
_atom_site_fract_z
Ba1 Ba 0.2343 0.0619 0.2491
Ho1 Ho 0.5000 0.0000 0.0000
Sb1 Sb 0.0000 0.0000 0.5000
S1 S 0.1574 0.2111 0.9619
S2 S 0.2431 0.6975 0.9567
S3 S 0.3203 0.0030 0.7426
```

***

Starting from a crystal structure in Alexandria, relaxed with PBE, the powder diffraction line list of BaHoTm4S8 was calculated for Cu Kα.

Main lines, in order of rising 2θ (15° ≤ 2θ ≤ 90°):
d/Å  I/Imax  hkl
4.078  24.9  1 0 4
3.477  100.0  0 2 1
3.326  12.6  2 0 2
2.883  20.8  0 2 4
2.223  12.3  0 2 7
2.218  34.3  0 3 3
2.042  28.6  2 0 8
2.036  28.5  2 2 0
1.757  11.2  4 0 1
1.500  12.1  4 1 3
1.442  8.8  0 4 8
1.176  8.9  4 2 8

Structure:
```
data_BaHoTm4S8
_chemical_formula_sum 'Ba3 Ho3 Tm12 S24'
_cell_length_a 8.1420
_cell_length_b 8.1420
_cell_length_c 20.0384
_cell_angle_alpha 90.00
_cell_angle_beta 90.00
_cell_angle_gamma 120.00
_space_group_name_H-M_alt 'R 3 m'
_space_group_IT_number 160
_space_group_name_Hall 'R 3 -2"'
loop_
_atom_site_label
_atom_site_type_symbol
_atom_site_fract_x
_atom_site_fract_y
_atom_site_fract_z
Ba1 Ba 0.0000 0.0000 0.0000
Ho1 Ho 0.0000 0.0000 0.6278
Tm1 Tm 0.0000 0.0000 0.2509
Tm2 Tm 0.1690 0.3381 0.4585
S1 S 0.0000 0.0000 0.3830
S2 S 0.0000 0.0000 0.8568
S3 S 0.0483 0.5242 0.3829
S4 S 0.1754 0.3508 0.2061
```

***

Starting from a crystal structure in Alexandria, relaxed with PBE, the powder diffraction line list of Ba2HoSb2 was calculated for Cu Kα.

Main lines, in order of rising 2θ (15° ≤ 2θ ≤ 90°):
d/Å  I/Imax  hkl
4.088  78.2  1 3 0
3.571  34.4  0 0 2
3.538  35.7  0 4 0
3.448  53.0  2 1 1
3.189  60.1  1 1 2
2.955  29.9  1 4 1
2.693  72.7  2 0 2
2.678  80.3  2 4 0
2.512  100.0  0 4 2
2.401  26.9  3 2 1
1.971  37.0  3 3 2
1.486  28.3  2 4 4

Structure:
```
data_Ba2HoSb2
_chemical_formula_sum 'Ba8 Ho4 Sb8'
_cell_length_a 8.2001
_cell_length_b 14.1366
_cell_length_c 7.1413
_cell_angle_alpha 90.00
_cell_angle_beta 90.00
_cell_angle_gamma 90.00
_space_group_name_H-M_alt 'I b a m'
_space_group_IT_number 72
_space_group_name_Hall '-I 2 2c'
loop_
_atom_site_label
_atom_site_type_symbol
_atom_site_fract_x
_atom_site_fract_y
_atom_site_fract_z
Ba1 Ba 0.1595 0.1464 0.0000
Ho1 Ho 0.0000 0.5000 0.2500
Sb1 Sb 0.2328 0.3905 0.0000
```

***

Starting from a crystal structure in Alexandria, relaxed with PBE, the powder diffraction line list of BaHo2Sc was calculated for Cu Kα.

Main lines, in order of rising 2θ (15° ≤ 2θ ≤ 90°):
d/Å  I/Imax  hkl
3.891  12.7  1 0 0
3.598  44.2  1 0 1
3.154  26.5  0 0 3
3.005  100.0  1 0 2
2.751  61.1  1 1 0
2.450  16.5  1 0 3
2.073  33.1  1 1 3
1.945  22.2  2 0 0
1.702  17.2  1 0 5
1.656  16.5  2 0 3
1.633  32.4  2 1 2
1.281  13.6  2 1 5

Structure:
```
data_BaHo2Sc
_chemical_formula_sum 'Ba1 Ho2 Sc1'
_cell_length_a 3.8906
_cell_length_b 3.8906
_cell_length_c 9.4630
_cell_angle_alpha 90.00
_cell_angle_beta 90.00
_cell_angle_gamma 90.00
_space_group_name_H-M_alt 'P 4/m m m'
_space_group_IT_number 123
_space_group_name_Hall '-P 4 2'
loop_
_atom_site_label
_atom_site_type_symbol
_atom_site_fract_x
_atom_site_fract_y
_atom_site_fract_z
Ba1 Ba 0.0000 0.0000 0.0000
Ho1 Ho 0.5000 0.5000 0.3139
Sc1 Sc 0.0000 0.0000 0.5000
```